CsSnBiI6: theoretical powder X-ray diffraction pattern (CuKα), based on a cell relaxed with PBE.
Neutral-atom scattering factors, no anomalous dispersion.

The 12 most intense peaks (2θ from 10° to 90°), in order of rising 2θ:
2θ/deg	intensity
10.32	37
12.51	16
16.25	70
24.14	97
30.23	100
35.16	31
38.17	44
38.45	31
47.55	21
49.44	19
58.17	17
64.13	17

Structural model:
Cell lengths 8.1672, 8.1672, 8.5722 Å; angles 90.00, 90.00, 120.00 degrees
Space group P312 (No. 149)
Asymmetric unit:
1 Cs 0.0000 0.0000 0.0000 x1
2 Sn 0.3333 0.6667 0.5000 x1
3 Bi 0.6667 0.3333 0.5000 x1
4 I 0.3800 0.0089 0.7161 x6